Diffraction record for Pu2Ga9Ni3. The X-ray diffraction stick pattern is simulated, not measured: it uses a DFT-relaxed cell (PBE, Alexandria) and Cu Kα (weighted mean of Kα1 and Kα2).
Peak positions follow from Bragg's law for the DFT cell and can differ from measured ones.

Principal peaks in the range 15° ≤ 2θ ≤ 90°, sorted by position:
Position (°2θ), d_spacing, I_rel, hkl
25.63, 3.476, 27, 0 2 1
30.48, 2.932, 7, 3 1 1
36.87, 2.438, 10, 4 2 -1
37.31, 2.410, 100, 0 2 3
38.06, 2.364, 15, 0 0 4
38.93, 2.313, 8, 1 3 1
40.12, 2.248, 8, 4 2 -3
41.86, 2.158, 60, 6 0 -2
45.02, 2.014, 8, 1 3 -3
57.29, 1.608, 11, 6 2 -5
73.38, 1.290, 10, 9 1 -6
73.49, 1.289, 20, 3 5 -4

Atomic structure:
Unit cell a=12.961 b=7.468 c=10.404 alpha=90.00 beta=114.64 gamma=90.00
Space group C2/c (No. 15)
One atom of each set of equivalent atoms:
Pu  0.168  0.084  0.251 [8 per cell]
Ga  0.000  0.369  0.250 [4 per cell]
Ga  0.059  0.080  0.928 [8 per cell]
Ga  0.106  0.311  0.749 [8 per cell]
Ga  0.106  0.415  0.063 [8 per cell]
Ga  0.226  0.416  0.426 [8 per cell]
Ni  0.083  0.249  0.500 [8 per cell]
Ni  0.250  0.250  0.000 [4 per cell]

=====

Diffraction record for Pu2GaNi. The X-ray diffraction stick pattern is simulated, not measured: it uses a DFT-relaxed cell (PBE, Alexandria) and Cu Kα (weighted mean of Kα1 and Kα2).
Peak positions follow from Bragg's law for the DFT cell and can differ from measured ones.

Principal peaks in the range 15° ≤ 2θ ≤ 90°, sorted by position:
Position (°2θ), d_spacing, I_rel, hkl
24.00, 3.708, 52, 1 0 0
30.65, 2.917, 14, 0 0 2
34.20, 2.622, 74, 1 1 0
39.30, 2.293, 100, 1 0 2
46.57, 1.950, 19, 1 1 2
49.14, 1.854, 27, 2 0 0
55.41, 1.658, 12, 2 1 0
64.66, 1.442, 47, 2 1 2
74.43, 1.275, 15, 1 1 4
82.22, 1.173, 12, 3 1 0
84.52, 1.146, 11, 2 0 4
85.29, 1.138, 11, 3 0 2

Atomic structure:
Unit cell a=3.708 b=3.708 c=5.835 alpha=90.00 beta=90.00 gamma=90.00
Space group P4/mmm (No. 123)
One atom of each set of equivalent atoms:
Pu  0.000  0.000  0.239 [2 per cell]
Ga  0.500  0.500  0.500 [1 per cell]
Ni  0.500  0.500  0.000 [1 per cell]

=====

Diffraction record for Pu3Ga2Ni4. The X-ray diffraction stick pattern is simulated, not measured: it uses a DFT-relaxed cell (PBE, Alexandria) and Cu Kα (weighted mean of Kα1 and Kα2).
Peak positions follow from Bragg's law for the DFT cell and can differ from measured ones.

Principal peaks in the range 15° ≤ 2θ ≤ 90°, sorted by position:
Position (°2θ), d_spacing, I_rel, hkl
26.10, 3.414, 65, 1 0 1
30.23, 2.957, 25, 0 1 2
36.16, 2.484, 83, 1 0 3
43.27, 2.091, 100, 1 1 0
51.24, 1.783, 13, 0 2 1
57.62, 1.600, 22, 0 2 3
62.86, 1.478, 11, 2 0 4
63.59, 1.463, 19, 0 0 7
69.26, 1.357, 11, 2 1 1
74.72, 1.270, 20, 2 1 3
79.38, 1.207, 31, 3 0 0
80.04, 1.199, 11, 1 1 7

Atomic structure:
Unit cell a=4.1815 b=4.1815 c=10.2425 alpha=90.00 beta=90.00 gamma=120.00
Space group P-3m1 (No. 164)
One atom of each set of equivalent atoms:
Pu  0.0000  0.0000  0.0000 [1 per cell]
Pu  0.3333  0.6667  0.5779 [2 per cell]
Ga  0.3333  0.6667  0.2182 [2 per cell]
Ni  0.0000  0.0000  0.2836 [2 per cell]
Ni  0.3333  0.6667  0.8372 [2 per cell]

=====

Diffraction record for PuGa3Ni. The X-ray diffraction stick pattern is simulated, not measured: it uses a DFT-relaxed cell (PBE, Alexandria) and Cu Kα (weighted mean of Kα1 and Kα2).
Peak positions follow from Bragg's law for the DFT cell and can differ from measured ones.

Principal peaks in the range 15° ≤ 2θ ≤ 90°, sorted by position:
Position (°2θ), d_spacing, I_rel, hkl
27.38, 3.257, 49, 1 0 1
30.58, 2.924, 22, 1 1 0
35.07, 2.558, 100, 1 1 1
40.50, 2.227, 53, 1 0 2
43.79, 2.067, 44, 2 0 0
52.42, 1.745, 17, 2 1 1
56.79, 1.621, 14, 1 0 3
61.17, 1.515, 32, 2 1 2
61.43, 1.509, 12, 1 1 3
63.66, 1.462, 14, 2 2 0
74.36, 1.276, 13, 2 1 3
74.80, 1.269, 22, 3 1 1

Atomic structure:
Unit cell a=4.135 b=4.135 c=5.287 alpha=90.00 beta=90.00 gamma=90.00
Space group P4mm (No. 99)
One atom of each set of equivalent atoms:
Pu  0.000  0.000  0.000 [1 per cell]
Ga  0.000  0.500  0.478 [2 per cell]
Ga  0.500  0.500  0.798 [1 per cell]
Ni  0.500  0.500  0.240 [1 per cell]

=====

Diffraction record for Pu3Ga8Ni3. The X-ray diffraction stick pattern is simulated, not measured: it uses a DFT-relaxed cell (PBE, Alexandria) and Cu Kα (weighted mean of Kα1 and Kα2).
Peak positions follow from Bragg's law for the DFT cell and can differ from measured ones.

Principal peaks in the range 15° ≤ 2θ ≤ 90°, sorted by position:
Position (°2θ), d_spacing, I_rel, hkl
20.84, 4.263, 20, 2 0 -2
22.63, 3.930, 46, 1 1 -1
28.86, 3.094, 25, 3 1 0
34.51, 2.599, 21, 2 0 2
34.99, 2.564, 29, 6 0 -2
35.72, 2.514, 100, 1 1 2
36.02, 2.493, 86, 5 1 -1
37.61, 2.392, 69, 3 1 -3
40.33, 2.237, 29, 5 1 -3
40.75, 2.214, 56, 0 2 0
54.77, 1.676, 16, 6 2 -2
71.11, 1.326, 23, 11 1 -4

Atomic structure:
Unit cell a=15.429 b=4.428 c=8.527 alpha=90.00 beta=122.76 gamma=90.00
Space group C2/m (No. 12)
One atom of each set of equivalent atoms:
Pu  0.000  0.000  0.000 [2 per cell]
Pu  0.216  0.500  0.705 [4 per cell]
Ga  0.009  0.500  0.674 [4 per cell]
Ga  0.137  0.000  0.431 [4 per cell]
Ga  0.147  0.000  0.855 [4 per cell]
Ga  0.149  0.500  0.270 [4 per cell]
Ni  0.000  0.000  0.500 [2 per cell]
Ni  0.159  0.500  0.998 [4 per cell]

=====

Diffraction record for Rb2GaNi. The X-ray diffraction stick pattern is simulated, not measured: it uses a DFT-relaxed cell (PBE, Alexandria) and Cu Kα (weighted mean of Kα1 and Kα2).
Peak positions follow from Bragg's law for the DFT cell and can differ from measured ones.

Principal peaks in the range 15° ≤ 2θ ≤ 90°, sorted by position:
Position (°2θ), d_spacing, I_rel, hkl
20.57, 4.318, 43, 1 0 1
22.07, 4.027, 71, 3 1 0
24.91, 3.574, 100, 2 1 1
28.03, 3.184, 97, 4 0 0
31.42, 2.847, 95, 4 2 0
35.02, 2.562, 49, 4 1 1
40.54, 2.225, 51, 1 1 2
41.34, 2.184, 30, 5 3 0
45.49, 1.994, 38, 3 1 2
50.02, 1.824, 39, 3 3 2
54.28, 1.690, 37, 5 1 2
59.90, 1.544, 32, 8 2 0

Atomic structure:
Unit cell a=12.734 b=12.734 c=4.590 alpha=90.00 beta=90.00 gamma=90.00
Space group I-42d (No. 122)
One atom of each set of equivalent atoms:
Rb  0.057  0.250  0.125 [8 per cell]
Ga  0.000  0.000  0.500 [4 per cell]
Ni  0.000  0.000  0.000 [4 per cell]

=====

Diffraction record for GaNi12Rh3. The X-ray diffraction stick pattern is simulated, not measured: it uses a DFT-relaxed cell (PBE, Alexandria) and Cu Kα (weighted mean of Kα1 and Kα2).
Peak positions follow from Bragg's law for the DFT cell and can differ from measured ones.

Principal peaks in the range 15° ≤ 2θ ≤ 90°, sorted by position:
Position (°2θ), d_spacing, I_rel, hkl
32.02, 2.795, 23, 1 1 3
41.49, 2.176, 32, 2 2 3
41.91, 2.156, 10, 0 2 4
42.40, 2.132, 11, 2 3 2
44.66, 2.029, 38, 2 1 4
45.29, 2.002, 100, 3 3 0
49.44, 1.843, 26, 1 4 3
49.79, 1.831, 12, 1 3 4
52.23, 1.751, 17, 4 0 4
71.58, 1.318, 9, 1 6 4
75.23, 1.263, 13, 1 7 3
83.65, 1.156, 10, 9 0 0

Atomic structure:
Unit cell a=12.0138 b=12.0138 c=9.4748 alpha=90.00 beta=90.00 gamma=120.00
Space group R-3c (No. 167, hexagonal axes)
One atom of each set of equivalent atoms:
Ga  0.0000  0.0000  0.0000 [6 per cell]
Ni  0.0914  0.2019  0.1781 [36 per cell]
Ni  0.0950  0.2305  0.9286 [36 per cell]
Rh  0.0000  0.3266  0.7500 [18 per cell]

=====

Diffraction record for GaNi6Rh2. The X-ray diffraction stick pattern is simulated, not measured: it uses a DFT-relaxed cell (PBE, Alexandria) and Cu Kα (weighted mean of Kα1 and Kα2).
Peak positions follow from Bragg's law for the DFT cell and can differ from measured ones.

Principal peaks in the range 15° ≤ 2θ ≤ 90°, sorted by position:
Position (°2θ), d_spacing, I_rel, hkl
40.85, 2.209, 20, 1 1 3
42.79, 2.113, 100, 1 1 6
43.20, 2.094, 47, 0 0 18
45.88, 1.978, 60, 1 1 9
49.95, 1.826, 54, 1 1 12
54.85, 1.674, 13, 1 1 15
73.02, 1.296, 28, 3 0 0
73.62, 1.287, 21, 1 1 24
81.14, 1.185, 9, 1 1 27
88.52, 1.105, 12, 2 2 6
88.80, 1.102, 33, 3 0 18
89.37, 1.096, 8, 1 1 30

Atomic structure:
Unit cell a=4.4884 b=4.4884 c=37.6921 alpha=90.00 beta=90.00 gamma=120.00
Space group R-3c (No. 167, hexagonal axes)
One atom of each set of equivalent atoms:
Ga  0.0000  0.0000  0.2500 [6 per cell]
Ni  0.0003  0.3322  0.1930 [36 per cell]
Rh  0.0000  0.0000  0.0839 [12 per cell]

=====

Diffraction record for GaNi2Rh8. The X-ray diffraction stick pattern is simulated, not measured: it uses a DFT-relaxed cell (PBE, Alexandria) and Cu Kα (weighted mean of Kα1 and Kα2).
Peak positions follow from Bragg's law for the DFT cell and can differ from measured ones.

Principal peaks in the range 15° ≤ 2θ ≤ 90°, sorted by position:
Position (°2θ), d_spacing, I_rel, hkl
29.34, 3.044, 12, 2 2 0
31.61, 2.830, 15, 2 0 1
36.66, 2.452, 23, 2 2 1
42.21, 2.141, 84, 3 1 1
42.87, 2.109, 100, 0 4 1
43.79, 2.067, 48, 0 0 2
44.65, 2.030, 44, 3 3 0
64.32, 1.448, 28, 3 3 2
79.37, 1.207, 12, 3 1 3
79.83, 1.201, 15, 0 4 3
81.49, 1.181, 16, 3 7 1
88.66, 1.103, 24, 6 4 1

Atomic structure:
Unit cell a=7.766 b=9.811 c=4.134 alpha=90.00 beta=90.00 gamma=90.00
Space group Cmmm (No. 65)
One atom of each set of equivalent atoms:
Ga  0.000  0.000  0.000 [2 per cell]
Ni  0.000  0.381  0.500 [4 per cell]
Rh  0.000  0.254  0.000 [4 per cell]
Rh  0.167  0.134  0.500 [8 per cell]
Rh  0.169  0.500  0.000 [4 per cell]

=====

Diffraction record for Sm2Ga3NiRh4. The X-ray diffraction stick pattern is simulated, not measured: it uses a DFT-relaxed cell (PBE, Alexandria) and Cu Kα (weighted mean of Kα1 and Kα2).
Peak positions follow from Bragg's law for the DFT cell and can differ from measured ones.

Principal peaks in the range 15° ≤ 2θ ≤ 90°, sorted by position:
Position (°2θ), d_spacing, I_rel, hkl
29.97, 2.981, 15, 1 1 0
33.89, 2.645, 66, 1 0 3
34.87, 2.573, 100, 1 1 2
42.90, 2.108, 62, 2 0 0
46.92, 1.936, 15, 1 1 4
49.70, 1.835, 28, 1 0 5
55.76, 1.648, 31, 2 1 3
62.29, 1.491, 20, 2 2 0
63.00, 1.475, 13, 1 1 6
67.71, 1.384, 22, 2 1 5
73.41, 1.290, 22, 3 1 2
88.42, 1.106, 9, 3 2 3

Atomic structure:
Unit cell a=4.216 b=4.216 c=10.188 alpha=90.00 beta=90.00 gamma=90.00
Space group P-4m2 (No. 115)
One atom of each set of equivalent atoms:
Sm  0.000  0.500  0.249 [2 per cell]
Ga  0.000  0.500  0.872 [2 per cell]
Ga  0.500  0.500  0.500 [1 per cell]
Ni  0.000  0.000  0.500 [1 per cell]
Rh  0.000  0.000  0.000 [1 per cell]
Rh  0.000  0.500  0.632 [2 per cell]
Rh  0.500  0.500  0.000 [1 per cell]

=====

Diffraction record for ZrGaNiRh. The X-ray diffraction stick pattern is simulated, not measured: it uses a DFT-relaxed cell (PBE, Alexandria) and Cu Kα (weighted mean of Kα1 and Kα2).
Peak positions follow from Bragg's law for the DFT cell and can differ from measured ones.

Principal peaks in the range 15° ≤ 2θ ≤ 90°, sorted by position:
Position (°2θ), d_spacing, I_rel, hkl
24.99, 3.563, 6, 1 0 1
39.74, 2.268, 100, 1 1 2
42.99, 2.104, 1, 1 0 3
44.53, 2.035, 36, 2 0 0
49.43, 1.844, 13, 0 0 4
51.74, 1.767, 2, 2 1 1
63.62, 1.463, 1, 2 1 3
64.80, 1.439, 11, 2 2 0
68.71, 1.366, 19, 2 0 4
78.77, 1.215, 25, 3 1 2
85.64, 1.134, 10, 2 2 4
86.01, 1.130, 10, 1 1 6

Atomic structure:
Unit cell a=4.069 b=4.069 c=7.375 alpha=90.00 beta=90.00 gamma=90.00
Space group I-4m2 (No. 119)
One atom of each set of equivalent atoms:
Zr  0.000  0.000  0.000 [2 per cell]
Ga  0.000  0.000  0.500 [2 per cell]
Ni  0.000  0.500  0.250 [2 per cell]
Rh  0.000  0.500  0.750 [2 per cell]

=====

Diffraction record for VGaNiRu. The X-ray diffraction stick pattern is simulated, not measured: it uses a DFT-relaxed cell (PBE, Alexandria) and Cu Kα (weighted mean of Kα1 and Kα2).
Peak positions follow from Bragg's law for the DFT cell and can differ from measured ones.

Principal peaks in the range 15° ≤ 2θ ≤ 90°, sorted by position:
Position (°2θ), d_spacing, I_rel, hkl
25.49, 3.494, 2, 0 0 2
26.35, 3.382, 8, 1 0 1
32.77, 2.733, 2, 1 1 0
41.97, 2.153, 100, 1 1 2
45.46, 1.995, 2, 1 0 3
47.03, 1.932, 36, 2 0 0
52.37, 1.747, 13, 0 0 4
54.71, 1.678, 2, 2 1 1
67.48, 1.388, 1, 2 1 3
68.70, 1.366, 11, 2 2 0
73.01, 1.296, 18, 2 0 4
83.87, 1.154, 24, 3 1 2

Atomic structure:
Unit cell a=3.865 b=3.865 c=6.988 alpha=90.00 beta=90.00 gamma=90.00
Space group I-4m2 (No. 119)
One atom of each set of equivalent atoms:
V  0.000  0.000  0.000 [2 per cell]
Ga  0.000  0.000  0.500 [2 per cell]
Ni  0.000  0.500  0.250 [2 per cell]
Ru  0.000  0.500  0.750 [2 per cell]

=====

What did the third record say?
Diffraction record for Pu3Ga2Ni4. The X-ray diffraction stick pattern is simulated, not measured: it uses a DFT-relaxed cell (PBE, Alexandria) and Cu Kα (weighted mean of Kα1 and Kα2).
Peak positions follow from Bragg's law for the DFT cell and can differ from measured ones.

Principal peaks in the range 15° ≤ 2θ ≤ 90°, sorted by position:
Position (°2θ), d_spacing, I_rel, hkl
26.10, 3.414, 65, 1 0 1
30.23, 2.957, 25, 0 1 2
36.16, 2.484, 83, 1 0 3
43.27, 2.091, 100, 1 1 0
51.24, 1.783, 13, 0 2 1
57.62, 1.600, 22, 0 2 3
62.86, 1.478, 11, 2 0 4
63.59, 1.463, 19, 0 0 7
69.26, 1.357, 11, 2 1 1
74.72, 1.270, 20, 2 1 3
79.38, 1.207, 31, 3 0 0
80.04, 1.199, 11, 1 1 7

Atomic structure:
Unit cell a=4.1815 b=4.1815 c=10.2425 alpha=90.00 beta=90.00 gamma=120.00
Space group P-3m1 (No. 164)
One atom of each set of equivalent atoms:
Pu  0.0000  0.0000  0.0000 [1 per cell]
Pu  0.3333  0.6667  0.5779 [2 per cell]
Ga  0.3333  0.6667  0.2182 [2 per cell]
Ni  0.0000  0.0000  0.2836 [2 per cell]
Ni  0.3333  0.6667  0.8372 [2 per cell]